(1)
The following is a theoretical powder XRD pattern of ZnF2. It was derived from a cell relaxed with PBE, using Cu Kα (weighted mean of Kα1 and Kα2).
Peak positions follow from Bragg's law for the DFT cell and can differ from measured ones.

Crystal structure
Unit cell a=4.762 b=5.783 c=5.249 alpha=90.00 beta=90.00 gamma=90.00
Space group Pbcn (No. 60)
Symmetry-distinct sites (fractional):
Zn: 0.000 0.161 0.250
F: 0.230 0.114 0.581

Main lines, most intense first (10 to 90 degrees two-theta):
| (hkl) | 2theta | intensity |
| --- | --- | --- |
| 1 1 1 | 29.67 | 100 |
| 1 1 0 | 24.21 | 42 |
| 2 2 1 | 52.77 | 36 |
| 2 0 2 | 51.85 | 23 |
| 0 2 1 | 35.45 | 18 |
| 1 3 0 | 51.12 | 16 |
| 1 1 3 | 58.42 | 16 |
| 0 2 3 | 62.00 | 15 |

=====

(2)
The following is a theoretical powder XRD pattern of Ag2BiSbTe4. It was derived from a cell relaxed with PBE, using Cu Kα (weighted mean of Kα1 and Kα2).
Peak positions follow from Bragg's law for the DFT cell and can differ from measured ones.

Crystal structure
Unit cell a=6.196 b=6.196 c=12.315 alpha=90.00 beta=90.00 gamma=90.00
Space group I-4m2 (No. 119)
Symmetry-distinct sites (fractional):
Ag: 0.000 0.000 0.000
Ag: 0.000 0.500 0.250
Bi: 0.000 0.000 0.500
Sb: 0.000 0.500 0.750
Te: 0.000 0.000 0.246
Te: 0.000 0.500 0.000

Main lines, most intense first (10 to 90 degrees two-theta):
| (hkl) | 2theta | intensity |
| --- | --- | --- |
| 2 0 0 | 28.82 | 100 |
| 2 0 4 | 41.34 | 75 |
| 0 0 4 | 29.00 | 49 |
| 2 2 4 | 51.18 | 40 |
| 2 2 0 | 41.21 | 38 |
| 4 2 0 | 67.66 | 34 |
| 4 2 4 | 75.20 | 25 |
| 2 0 8 | 68.01 | 17 |

=====

(3)
The following is a theoretical powder XRD pattern of CsMg6Cd. It was derived from a cell relaxed with PBE, using Cu Kα (weighted mean of Kα1 and Kα2).
Peak positions follow from Bragg's law for the DFT cell and can differ from measured ones.

Crystal structure
Unit cell a=5.443 b=6.958 c=12.192 alpha=90.00 beta=90.00 gamma=90.00
Space group Amm2 (No. 38)
Symmetry-distinct sites (fractional):
Cs: 0.000 0.000 0.000
Mg: 0.000 0.244 0.251
Mg: 0.500 0.000 0.184
Mg: 0.500 0.000 0.667
Mg: 0.500 0.224 0.408
Cd: 0.000 0.000 0.495

Main lines, most intense first (10 to 90 degrees two-theta):
| (hkl) | 2theta | intensity |
| --- | --- | --- |
| 1 2 2 | 33.93 | 100 |
| 0 0 2 | 14.53 | 50 |
| 1 0 2 | 21.89 | 50 |
| 1 0 4 | 33.70 | 49 |
| 1 0 0 | 16.28 | 43 |
| 0 2 2 | 29.56 | 38 |
| 2 0 0 | 32.91 | 34 |
| 2 2 2 | 44.82 | 23 |

=====

(4)
The following is a theoretical powder XRD pattern of Rb2PrAgBr6. It was derived from a cell relaxed with PBE, using Cu Kα (weighted mean of Kα1 and Kα2).
Peak positions follow from Bragg's law for the DFT cell and can differ from measured ones.

Crystal structure
Unit cell a=11.536 b=11.536 c=11.536 alpha=90.00 beta=90.00 gamma=90.00
Space group Fm-3m (No. 225)
Symmetry-distinct sites (fractional):
Rb: 0.250 0.250 0.250
Pr: 0.000 0.000 0.000
Ag: 0.000 0.000 0.500
Br: 0.000 0.000 0.251

Main lines, most intense first (10 to 90 degrees two-theta):
| (hkl) | 2theta | intensity |
| --- | --- | --- |
| 4 0 0 | 31.01 | 100 |
| 4 4 0 | 44.43 | 72 |
| 2 2 2 | 26.77 | 40 |
| 2 2 0 | 21.79 | 39 |
| 2 0 0 | 15.36 | 39 |
| 8 4 0 | 73.42 | 32 |
| 4 4 4 | 55.16 | 25 |
| 8 4 4 | 81.81 | 24 |

=====

(5)
The following is a theoretical powder XRD pattern of Ca2GdTaO6. It was derived from a cell relaxed with PBE, using Cu Kα (weighted mean of Kα1 and Kα2).
Peak positions follow from Bragg's law for the DFT cell and can differ from measured ones.

Crystal structure
Unit cell a=5.647 b=5.910 c=9.931 alpha=90.00 beta=124.61 gamma=90.00
Space group P2_1/c (No. 14)
Symmetry-distinct sites (fractional):
Ca: 0.242 0.054 0.256
Gd: 0.500 0.000 0.000
Ta: 0.000 0.000 0.500
O: 0.104 0.216 0.929
O: 0.237 0.679 0.947
O: 0.347 0.055 0.731

Main lines, most intense first (10 to 90 degrees two-theta):
| (hkl) | 2theta | intensity |
| --- | --- | --- |
| 1 1 -3 | 30.96 | 100 |
| 1 1 -1 | 21.76 | 86 |
| 0 0 4 | 44.36 | 36 |
| 2 2 -4 | 49.92 | 29 |
| 0 2 0 | 30.25 | 25 |
| 3 1 -5 | 55.99 | 24 |
| 2 0 -2 | 31.69 | 22 |
| 1 3 -3 | 54.18 | 20 |

=====

(6)
The following is a theoretical powder XRD pattern of In3SbTe2. It was derived from a cell relaxed with PBE, using Cu Kα (weighted mean of Kα1 and Kα2).
Peak positions follow from Bragg's law for the DFT cell and can differ from measured ones.

Crystal structure
Unit cell a=4.4281 b=4.4281 c=10.7564 alpha=90.00 beta=90.00 gamma=120.00
Space group P-3m1 (No. 164)
Symmetry-distinct sites (fractional):
In: 0.0000 0.0000 0.0000
In: 0.3333 0.6667 0.6569
Sb: 0.0000 0.0000 0.5000
Te: 0.3333 0.6667 0.1717

Main lines, most intense first (10 to 90 degrees two-theta):
| (hkl) | 2theta | intensity |
| --- | --- | --- |
| 0 1 2 | 28.59 | 100 |
| 1 1 0 | 40.75 | 38 |
| 1 0 4 | 40.99 | 37 |
| 2 0 2 | 50.54 | 20 |
| 1 2 2 | 66.85 | 17 |
| 1 1 6 | 67.19 | 16 |
| 2 1 4 | 74.35 | 12 |
| 0 2 4 | 59.18 | 12 |

=====

(7)
The following is a theoretical powder XRD pattern of Mg6SiB. It was derived from a cell relaxed with PBE, using Cu Kα (weighted mean of Kα1 and Kα2).
Peak positions follow from Bragg's law for the DFT cell and can differ from measured ones.

Crystal structure
Unit cell a=3.976 b=7.783 c=9.876 alpha=90.00 beta=90.00 gamma=90.00
Space group Amm2 (No. 38)
Symmetry-distinct sites (fractional):
Mg: 0.000 0.000 0.000
Mg: 0.000 0.185 0.258
Mg: 0.500 0.000 0.769
Mg: 0.500 0.219 0.512
Si: 0.000 0.000 0.575
B: 0.500 0.000 0.147

Main lines, most intense first (10 to 90 degrees two-theta):
| (hkl) | 2theta | intensity |
| --- | --- | --- |
| 1 2 2 | 37.10 | 100 |
| 1 1 3 | 37.30 | 32 |
| 0 0 4 | 36.39 | 23 |
| 2 0 0 | 45.64 | 20 |
| 0 3 1 | 35.78 | 18 |
| 3 2 2 | 78.70 | 11 |
| 2 0 4 | 59.72 | 10 |
| 1 5 3 | 71.06 | 9 |

=====

(8)
The following is a theoretical powder XRD pattern of DyGa6Fe6. It was derived from a cell relaxed with PBE, using Cu Kα (weighted mean of Kα1 and Kα2).
Peak positions follow from Bragg's law for the DFT cell and can differ from measured ones.

Crystal structure
Unit cell a=5.030 b=8.524 c=8.718 alpha=90.00 beta=90.00 gamma=90.00
Space group Immm (No. 71)
Symmetry-distinct sites (fractional):
Dy: 0.000 0.000 0.000
Ga: 0.000 0.000 0.343
Ga: 0.000 0.335 0.000
Ga: 0.000 0.500 0.319
Fe: 0.000 0.254 0.500
Fe: 0.250 0.250 0.250

Main lines, most intense first (10 to 90 degrees two-theta):
| (hkl) | 2theta | intensity |
| --- | --- | --- |
| 2 2 0 | 41.69 | 100 |
| 2 0 0 | 35.69 | 72 |
| 0 0 4 | 41.44 | 55 |
| 2 2 2 | 46.83 | 47 |
| 0 4 0 | 42.42 | 34 |
| 1 3 2 | 41.99 | 33 |
| 2 6 0 | 77.10 | 32 |
| 4 0 0 | 75.59 | 28 |

=====

(9)
The following is a theoretical powder XRD pattern of CoPt2. It was derived from a cell relaxed with PBE, using Cu Kα (weighted mean of Kα1 and Kα2).
Peak positions follow from Bragg's law for the DFT cell and can differ from measured ones.

Crystal structure
Unit cell a=8.2231 b=8.2231 c=10.0629 alpha=90.00 beta=90.00 gamma=120.00
Space group R-3 (No. 148, hexagonal axes)
Symmetry-distinct sites (fractional):
Co: 0.0000 0.0000 0.0000
Co: 0.0000 0.5000 0.0000
Pt: 0.0000 0.0000 0.3695
Pt: 0.0072 0.2540 0.1238

Main lines, most intense first (10 to 90 degrees two-theta):
| (hkl) | 2theta | intensity |
| --- | --- | --- |
| 2 -1 3 | 34.50 | 100 |
| 3 0 0 | 37.91 | 73 |
| 1 3 4 | 59.50 | 40 |
| 2 2 3 | 52.19 | 32 |
| 5 1 1 | 74.85 | 21 |
| 5 -2 1 | 57.13 | 18 |
| 4 0 4 | 64.08 | 11 |
| 6 -5 2 | 76.93 | 9 |

=====

(10)
The following is a theoretical powder XRD pattern of NpSn3. It was derived from a cell relaxed with PBE, using Cu Kα (weighted mean of Kα1 and Kα2).
Peak positions follow from Bragg's law for the DFT cell and can differ from measured ones.

Crystal structure
Unit cell a=4.663 b=4.663 c=4.663 alpha=90.00 beta=90.00 gamma=90.00
Space group Pm-3m (No. 221)
Symmetry-distinct sites (fractional):
Np: 0.000 0.000 0.000
Sn: 0.000 0.500 0.500

Main lines, most intense first (10 to 90 degrees two-theta):
| (hkl) | 2theta | intensity |
| --- | --- | --- |
| 1 1 1 | 33.28 | 100 |
| 2 0 0 | 38.62 | 51 |
| 3 1 1 | 66.51 | 43 |
| 2 2 0 | 55.76 | 36 |
| 2 2 2 | 69.88 | 12 |
| 1 0 0 | 19.03 | 10 |
| 1 1 0 | 27.04 | 8 |
| 4 0 0 | 82.81 | 6 |

=====

(11)
The following is a theoretical powder XRD pattern of Ba2Sr5B4S13. It was derived from a cell relaxed with PBE, using Cu Kα (weighted mean of Kα1 and Kα2).
Peak positions follow from Bragg's law for the DFT cell and can differ from measured ones.

Crystal structure
Unit cell a=9.923 b=23.660 c=9.907 alpha=90.00 beta=90.17 gamma=90.00
Space group C2/c (No. 15)
Symmetry-distinct sites (fractional):
Ba: 0.000 0.009 0.250
Ba: 0.000 0.330 0.250
Sr: 0.000 0.498 0.750
Sr: 0.106 0.172 0.976
Sr: 0.226 0.327 0.644
B: 0.099 0.382 0.929
B: 0.179 0.115 0.651
S: 0.000 0.200 0.250
S: 0.049 0.418 0.506
S: 0.095 0.078 0.514
S: 0.103 0.304 0.933
S: 0.182 0.193 0.649
S: 0.234 0.420 0.844
S: 0.246 0.079 0.799

Main lines, most intense first (10 to 90 degrees two-theta):
| (hkl) | 2theta | intensity |
| --- | --- | --- |
| 3 1 1 | 28.72 | 100 |
| 1 7 -3 | 39.19 | 62 |
| 1 5 -3 | 34.31 | 51 |
| 4 0 -2 | 40.65 | 47 |
| 2 6 2 | 34.23 | 44 |
| 1 3 2 | 23.03 | 41 |
| 0 6 0 | 22.55 | 38 |
| 0 4 2 | 23.41 | 35 |

=====

(12)
The following is a theoretical powder XRD pattern of LuTlO2. It was derived from a cell relaxed with PBE, using Cu Kα (weighted mean of Kα1 and Kα2).
Peak positions follow from Bragg's law for the DFT cell and can differ from measured ones.

Crystal structure
Unit cell a=3.4060 b=3.4060 c=19.5185 alpha=90.00 beta=90.00 gamma=120.00
Space group R-3m (No. 166, hexagonal axes)
Symmetry-distinct sites (fractional):
Lu: 0.0000 0.0000 0.0000
Tl: 0.0000 0.0000 0.5000
O: 0.0000 0.0000 0.2776

Main lines, most intense first (10 to 90 degrees two-theta):
| (hkl) | 2theta | intensity |
| --- | --- | --- |
| 1 0 4 | 35.56 | 100 |
| 0 1 2 | 31.69 | 99 |
| 0 0 6 | 27.42 | 52 |
| 0 1 8 | 48.42 | 38 |
| 1 1 6 | 61.46 | 34 |
| 1 1 0 | 53.83 | 31 |
| 1 0 10 | 56.55 | 31 |
| 0 2 10 | 81.89 | 24 |

=====

(13)
The following is a theoretical powder XRD pattern of Y4Sb3. It was derived from a cell relaxed with PBE, using Cu Kα (weighted mean of Kα1 and Kα2).
Peak positions follow from Bragg's law for the DFT cell and can differ from measured ones.

Crystal structure
Unit cell a=9.229 b=9.229 c=9.229 alpha=90.00 beta=90.00 gamma=90.00
Space group I-43d (No. 220)
Symmetry-distinct sites (fractional):
Y: 0.073 0.073 0.073
Sb: 0.000 0.250 0.375

Main lines, most intense first (10 to 90 degrees two-theta):
| (hkl) | 2theta | intensity |
| --- | --- | --- |
| 3 1 0 | 30.63 | 100 |
| 3 2 1 | 36.42 | 65 |
| 6 1 1 | 61.98 | 27 |
| 4 3 1 | 50.42 | 18 |
| 4 2 0 | 43.87 | 18 |
| 7 2 1 | 75.73 | 17 |
| 5 4 1 | 65.55 | 13 |
| 4 2 2 | 48.31 | 13 |